No. 1
Calculated PXRD pattern of Pm5Dy4Th for CuKα, from a DFT-relaxed cell (PBE, Alexandria).

Principal peaks in the range 10° ≤ 2θ ≤ 80°, by intensity:
33.52°, rel. 100, hkl 1 2 2
33.68°, rel. 93, hkl 1 2 -2
30.71°, rel. 58, hkl 0 3 0
26.69°, rel. 42, hkl 1 1 1
32.46°, rel. 34, hkl 0 0 4
31.65°, rel. 28, hkl 0 2 3

Atomic structure:
abc: 3.5759 8.9109 11.0338
angles: 89.39 90.00 78.59
Space group P-1 (No. 2)
One atom of each set of equivalent atoms:
Pm  0.0000  0.0000  0.0000 (multiplicity 1)
Pm  0.3266  0.3495  0.9446 (multiplicity 2)
Pm  0.3307  0.3411  0.5535 (multiplicity 2)
Dy  0.1462  0.7033  0.7463 (multiplicity 2)
Dy  0.4754  0.0497  0.7492 (multiplicity 2)
Th  0.0000  0.0000  0.5000 (multiplicity 1)

---

No. 2
Calculated PXRD pattern of Dy7NiI12 for CuKα, from a DFT-relaxed cell (PBE, Alexandria).

Principal peaks in the range 10° ≤ 2θ ≤ 80°, by intensity:
29.06°, rel. 100, hkl 4 -1 2
41.50°, rel. 35, hkl 1 3 4
41.62°, rel. 34, hkl 5 2 0
11.31°, rel. 27, hkl 1 1 0
51.56°, rel. 17, hkl 2 6 2
25.10°, rel. 14, hkl 0 0 3

Atomic structure:
abc: 15.6494 15.6494 10.6726
angles: 90.00 90.00 120.00
Space group R-3 (No. 148, hexagonal axes)
One atom of each set of equivalent atoms:
Dy  0.0000  0.0000  0.0000 (multiplicity 3)
Dy  0.0422  0.8878  0.3586 (multiplicity 18)
Ni  0.0000  0.0000  0.5000 (multiplicity 3)
I  0.0199  0.4351  0.1593 (multiplicity 18)
I  0.0509  0.8695  0.8389 (multiplicity 18)

---

No. 3
Calculated PXRD pattern of LaY2UO8 for CuKα, from a DFT-relaxed cell (PBE, Alexandria).

Principal peaks in the range 10° ≤ 2θ ≤ 80°, by intensity:
28.16°, rel. 100, hkl 1 1 0
28.48°, rel. 93, hkl 0 1 2
47.32°, rel. 69, hkl 1 2 2
32.51°, rel. 38, hkl 1 0 2
55.19°, rel. 29, hkl 2 1 2
55.74°, rel. 28, hkl 1 1 4

Atomic structure:
abc: 3.9282 5.3620 7.7251
angles: 90.00 90.00 90.00
Space group Pmmm (No. 47)
One atom of each set of equivalent atoms:
La  0.0000  0.0000  0.0000 (multiplicity 1)
Y  0.5000  0.5000  0.2636 (multiplicity 2)
U  0.0000  0.0000  0.5000 (multiplicity 1)
O  0.0000  0.2431  0.2797 (multiplicity 4)
O  0.5000  0.2311  0.5000 (multiplicity 2)
O  0.5000  0.2749  0.0000 (multiplicity 2)

---

No. 4
Calculated PXRD pattern of Mg8TlPb6 for CuKα, from a DFT-relaxed cell (PBE, Alexandria).

Principal peaks in the range 10° ≤ 2θ ≤ 80°, by intensity:
36.99°, rel. 100, hkl 2 1 4
32.21°, rel. 84, hkl 3 -2 2
25.14°, rel. 79, hkl 2 -1 3
30.92°, rel. 63, hkl 0 0 6
23.49°, rel. 44, hkl 0 2 1
54.15°, rel. 39, hkl 1 4 0

Atomic structure:
abc: 8.9623 8.9623 17.3525
angles: 90.00 90.00 120.00
Space group R-3 (No. 148, hexagonal axes)
One atom of each set of equivalent atoms:
Mg  0.0000  0.0000  0.2475 (multiplicity 6)
Mg  0.0401  0.2746  0.9003 (multiplicity 18)
Tl  0.0000  0.0000  0.0000 (multiplicity 3)
Pb  0.0311  0.2508  0.4091 (multiplicity 18)

---

No. 5
Calculated PXRD pattern of Er4Ge8Ru for CuKα, from a DFT-relaxed cell (PBE, Alexandria).

Principal peaks in the range 10° ≤ 2θ ≤ 80°, by intensity:
35.47°, rel. 100, hkl 1 1 3
43.90°, rel. 17, hkl 0 2 0
75.17°, rel. 16, hkl 1 3 3
45.39°, rel. 15, hkl 2 0 0
40.55°, rel. 13, hkl 1 0 6
24.89°, rel. 12, hkl 1 0 2

Atomic structure:
abc: 3.9960 4.1248 16.0668
angles: 90.00 90.00 90.00
Space group Pmm2 (No. 25)
One atom of each set of equivalent atoms:
Er  0.0000  0.0000  0.0000 (multiplicity 1)
Er  0.0000  0.5000  0.4859 (multiplicity 1)
Er  0.5000  0.0000  0.7893 (multiplicity 1)
Er  0.5000  0.5000  0.2846 (multiplicity 1)
Ge  0.0000  0.0000  0.3298 (multiplicity 1)
Ge  0.0000  0.0000  0.6204 (multiplicity 1)
Ge  0.0000  0.5000  0.1400 (multiplicity 1)
Ge  0.0000  0.5000  0.8561 (multiplicity 1)
Ge  0.5000  0.0000  0.1447 (multiplicity 1)
Ge  0.5000  0.0000  0.4375 (multiplicity 1)
Ge  0.5000  0.5000  0.6186 (multiplicity 1)
Ge  0.5000  0.5000  0.9598 (multiplicity 1)
Ru  0.0000  0.5000  0.7050 (multiplicity 1)

---

No. 6
Calculated PXRD pattern of Sr3PbAu2 for CuKα, from a DFT-relaxed cell (PBE, Alexandria).

Principal peaks in the range 10° ≤ 2θ ≤ 80°, by intensity:
32.02°, rel. 100, hkl 1 0 3
32.59°, rel. 49, hkl 1 1 0
57.80°, rel. 38, hkl 2 1 3
46.76°, rel. 18, hkl 2 0 0
56.71°, rel. 18, hkl 1 1 6
22.89°, rel. 17, hkl 1 0 0

Atomic structure:
abc: 3.8853 3.8853 12.0730
angles: 90.00 90.00 90.00
Space group P4/mmm (No. 123)
One atom of each set of equivalent atoms:
Sr  0.0000  0.0000  0.0000 (multiplicity 1)
Sr  0.0000  0.0000  0.3148 (multiplicity 2)
Pb  0.5000  0.5000  0.5000 (multiplicity 1)
Au  0.5000  0.5000  0.1586 (multiplicity 2)

---

No. 7
Calculated PXRD pattern of VFeAs2 for CuKα, from a DFT-relaxed cell (PBE, Alexandria).

Principal peaks in the range 10° ≤ 2θ ≤ 80°, by intensity:
34.42°, rel. 100, hkl 1 1 1
44.57°, rel. 69, hkl 1 1 2
33.09°, rel. 48, hkl 0 2 1
43.00°, rel. 42, hkl 1 2 1
52.19°, rel. 36, hkl 1 3 0
43.50°, rel. 35, hkl 0 2 2

Atomic structure:
abc: 3.3418 6.1748 5.6305
angles: 90.00 90.00 90.00
Space group Pmc2_1 (No. 26)
One atom of each set of equivalent atoms:
V  0.0000  0.0526  0.0000 (multiplicity 2)
Fe  0.5000  0.4374  0.9893 (multiplicity 2)
As  0.0000  0.3355  0.6930 (multiplicity 2)
As  0.5000  0.1860  0.3033 (multiplicity 2)

---

No. 8
Calculated PXRD pattern of Sc12GaCo5 for CuKα, from a DFT-relaxed cell (PBE, Alexandria).

Principal peaks in the range 10° ≤ 2θ ≤ 80°, by intensity:
38.84°, rel. 100, hkl 2 3 1
35.32°, rel. 96, hkl 2 2 2
38.35°, rel. 95, hkl 1 3 2
37.54°, rel. 71, hkl 2 1 3
41.83°, rel. 55, hkl 4 0 0
20.56°, rel. 46, hkl 2 0 0

Atomic structure:
abc: 8.6370 8.6443 9.1606
angles: 90.00 90.00 90.00
Space group Immm (No. 71)
One atom of each set of equivalent atoms:
Sc  0.0000  0.1916  0.2307 (multiplicity 8)
Sc  0.1960  0.5000  0.1763 (multiplicity 8)
Sc  0.2244  0.3191  0.5000 (multiplicity 8)
Ga  0.0000  0.0000  0.5000 (multiplicity 2)
Co  0.0000  0.0000  0.0000 (multiplicity 2)
Co  0.0000  0.3468  0.0000 (multiplicity 4)
Co  0.0000  0.5000  0.3788 (multiplicity 4)

---

No. 9
Calculated PXRD pattern of K3CaCe2S6 for CuKα, from a DFT-relaxed cell (PBE, Alexandria).

Principal peaks in the range 10° ≤ 2θ ≤ 80°, by intensity:
29.58°, rel. 100, hkl 1 3 1
12.07°, rel. 44, hkl 0 0 1
43.37°, rel. 35, hkl 0 6 0
41.27°, rel. 33, hkl 2 0 2
25.96°, rel. 20, hkl 2 0 0
53.38°, rel. 18, hkl 4 0 0

Atomic structure:
abc: 7.2275 12.5166 7.7154
angles: 90.00 108.19 90.00
Space group C2/m (No. 12)
One atom of each set of equivalent atoms:
K  0.0000  0.0000  0.0000 (multiplicity 2)
K  0.0000  0.3359  0.0000 (multiplicity 4)
Ca  0.0000  0.5000  0.5000 (multiplicity 2)
Ce  0.0000  0.1669  0.5000 (multiplicity 4)
S  0.2255  0.0000  0.7034 (multiplicity 4)
S  0.2392  0.3288  0.7037 (multiplicity 8)

---

No. 10
Calculated PXRD pattern of Ce3HfSi6 for CuKα, from a DFT-relaxed cell (PBE, Alexandria).

Principal peaks in the range 10° ≤ 2θ ≤ 80°, by intensity:
37.09°, rel. 100, hkl 0 2 4
34.28°, rel. 49, hkl 1 3 1
18.31°, rel. 42, hkl 0 1 2
29.12°, rel. 27, hkl 1 2 2
31.96°, rel. 23, hkl 2 2 0
28.76°, rel. 23, hkl 1 1 3

Atomic structure:
abc: 11.2016 11.2016 11.1878
angles: 90.00 90.00 120.00
Space group R-3c (No. 167, hexagonal axes)
One atom of each set of equivalent atoms:
Ce  0.0000  0.4360  0.2500 (multiplicity 18)
Hf  0.0000  0.0000  0.0000 (multiplicity 6)
Si  0.0710  0.2151  0.3383 (multiplicity 36)

---

No. 11
Calculated PXRD pattern of Tb12NdY5 for CuKα, from a DFT-relaxed cell (PBE, Alexandria).

Principal peaks in the range 10° ≤ 2θ ≤ 80°, by intensity:
30.67°, rel. 100, hkl 3 1 0
35.56°, rel. 50, hkl 3 0 3
60.85°, rel. 42, hkl 3 3 0
51.18°, rel. 36, hkl 6 0 0
63.87°, rel. 12, hkl 6 2 0
75.29°, rel. 6, hkl 0 4 0

Atomic structure:
abc: 10.7040 5.0490 10.7149
angles: 90.00 90.06 90.00
Space group P2/m (No. 10)
One atom of each set of equivalent atoms:
Tb  0.0006  0.0000  0.3335 (multiplicity 2)
Tb  0.1651  0.5000  0.4991 (multiplicity 2)
Tb  0.1670  0.5000  0.1670 (multiplicity 2)
Tb  0.3318  0.0000  0.3318 (multiplicity 2)
Tb  0.3336  0.0000  0.0006 (multiplicity 2)
Tb  0.4992  0.5000  0.1651 (multiplicity 2)
Nd  0.5000  0.5000  0.5000 (multiplicity 1)
Y  0.0000  0.0000  0.0000 (multiplicity 1)
Y  0.1665  0.5000  0.8335 (multiplicity 2)
Y  0.3327  0.0000  0.6673 (multiplicity 2)

---

No. 12
Calculated PXRD pattern of LiHo2Rh2 for CuKα, from a DFT-relaxed cell (PBE, Alexandria).

Principal peaks in the range 10° ≤ 2θ ≤ 80°, by intensity:
34.71°, rel. 100, hkl 1 1 2
37.49°, rel. 99, hkl 0 2 2
26.62°, rel. 94, hkl 1 1 0
40.03°, rel. 75, hkl 1 0 3
39.19°, rel. 71, hkl 1 2 1
59.74°, rel. 51, hkl 2 2 2

Atomic structure:
abc: 4.0524 5.9437 8.1275
angles: 90.00 90.00 90.00
Space group Immm (No. 71)
One atom of each set of equivalent atoms:
Li  0.0000  0.0000  0.0000 (multiplicity 2)
Ho  0.0000  0.5000  0.2046 (multiplicity 4)
Rh  0.0000  0.2317  0.5000 (multiplicity 4)